[1]
Starting from the PBE geometry in Alexandria, the PXRD pattern of TbMg7Pb4 was calculated for a wavelength of 1.5418 Å.

Top 10 peaks for 2θ = 5–70°, in order of rising 2θ:
2θ = 19.5°, I 21.6
2θ = 22.2°, I 100.0
2θ = 24.6°, I 23.3
2θ = 26.9°, I 66.8
2θ = 30.2°, I 51.0
2θ = 30.6°, I 62.3
2θ = 36.7°, I 35.3
2θ = 38.4°, I 28.0
2θ = 39.6°, I 25.2
2θ = 43.5°, I 38.6

Structural model:
Cell: 6.864 6.864 10.881 Å, 119.80 119.80 50.43°
Fractional positions:
Tb 0.000 0.000 0.000
Mg 0.097 0.097 0.435
Mg 0.300 0.300 0.355
Mg 0.307 0.307 0.090
Mg 0.500 0.500 0.000
Mg 0.693 0.693 0.910
Mg 0.700 0.700 0.645
Mg 0.903 0.903 0.565
Pb 0.194 0.194 0.772
Pb 0.410 0.410 0.682
Pb 0.590 0.590 0.318
Pb 0.806 0.806 0.228

***

[2]
Starting from the PBE geometry in Alexandria, the PXRD pattern of PmP2OsRu was calculated for a wavelength of 1.5418 Å.

Top 10 peaks for 2θ = 5–70°, in order of rising 2θ:
2θ = 18.0°, I 16.1
2θ = 23.6°, I 27.0
2θ = 35.0°, I 25.6
2θ = 36.0°, I 100.0
2θ = 36.5°, I 18.2
2θ = 44.3°, I 36.7
2θ = 57.7°, I 12.0
2θ = 58.7°, I 18.7
2θ = 64.4°, I 12.0
2θ = 65.3°, I 18.7

Structural model:
Cell: 5.713 5.713 5.713 Å, 138.06 138.06 60.81°
Fractional positions:
Pm 0.000 0.000 0.000
P 0.370 0.370 0.000
P 0.630 0.630 0.000
Os 0.750 0.250 0.500
Ru 0.250 0.750 0.500

***

[3]
Starting from the PBE geometry in Alexandria, the PXRD pattern of Ho13Co2 was calculated for a wavelength of 1.5418 Å.

Top 10 peaks for 2θ = 5–70°, in order of rising 2θ:
2θ = 30.2°, I 50.0
2θ = 30.3°, I 100.0
2θ = 30.4°, I 49.7
2θ = 34.8°, I 43.4
2θ = 35.3°, I 84.3
2θ = 50.2°, I 15.1
2θ = 50.3°, I 15.2
2θ = 50.5°, I 29.6
2θ = 50.7°, I 29.6
2θ = 60.3°, I 34.6

Structural model:
Cell: 6.263 8.045 9.584 Å, 65.19 89.33 82.60°
Fractional positions:
Ho 0.000 0.000 0.000
Ho 0.061 0.525 0.312
Ho 0.166 0.068 0.613
Ho 0.226 0.616 0.931
Ho 0.310 0.159 0.228
Ho 0.404 0.678 0.553
Ho 0.453 0.230 0.851
Ho 0.547 0.770 0.149
Ho 0.596 0.322 0.447
Ho 0.690 0.841 0.772
Ho 0.774 0.384 0.069
Ho 0.834 0.932 0.387
Ho 0.939 0.475 0.688
Co 0.196 0.833 0.283
Co 0.804 0.167 0.717

***

[4]
Starting from the PBE geometry in Alexandria, the PXRD pattern of ErBi2O6 was calculated for a wavelength of 1.5418 Å.

Top 10 peaks for 2θ = 5–70°, in order of rising 2θ:
2θ = 23.9°, I 1.2
2θ = 28.6°, I 100.0
2θ = 33.1°, I 34.8
2θ = 45.7°, I 1.2
2θ = 47.6°, I 50.4
2θ = 56.4°, I 14.8
2θ = 56.5°, I 30.9
2θ = 59.2°, I 9.8
2θ = 69.4°, I 2.5
2θ = 69.6°, I 5.3

Structural model:
Cell: 8.561 8.561 8.561 Å, 154.21 154.21 36.79°
Fractional positions:
Er 0.000 0.000 0.000
Bi 0.338 0.338 0.000
Bi 0.662 0.662 0.000
O 0.084 0.584 0.500
O 0.250 0.750 0.500
O 0.416 0.916 0.500
O 0.584 0.084 0.500
O 0.750 0.250 0.500
O 0.916 0.416 0.500

***

[5]
Starting from the PBE geometry in Alexandria, the PXRD pattern of Ac2ThSc was calculated for a wavelength of 1.5418 Å.

Top 10 peaks for 2θ = 5–70°, in order of rising 2θ:
2θ = 8.9°, I 14.6
2θ = 25.2°, I 13.3
2θ = 29.7°, I 100.0
2θ = 33.4°, I 37.2
2θ = 36.3°, I 14.2
2θ = 48.0°, I 13.7
2θ = 50.1°, I 22.9
2θ = 57.5°, I 32.0
2θ = 61.2°, I 11.8
2θ = 61.6°, I 12.5

Structural model:
Cell: 3.789 3.789 9.912 Å, 90.00 90.00 90.00°
Fractional positions:
Ac 0.000 0.000 0.238
Ac 0.000 0.000 0.762
Th 0.500 0.500 0.500
Sc 0.500 0.500 0.000

***

[6]
Starting from the PBE geometry in Alexandria, the PXRD pattern of YTm6Th4 was calculated for a wavelength of 1.5418 Å.

Top 10 peaks for 2θ = 5–70°, in order of rising 2θ:
2θ = 27.3°, I 32.5
2θ = 29.1°, I 16.2
2θ = 30.9°, I 64.5
2θ = 31.7°, I 100.0
2θ = 34.1°, I 35.3
2θ = 36.7°, I 49.8
2θ = 41.6°, I 21.4
2θ = 55.4°, I 20.1
2θ = 63.4°, I 14.5
2θ = 63.9°, I 26.3

Structural model:
Cell: 18.071 18.071 18.071 Å, 169.19 161.55 21.43°
Fractional positions:
Y 0.000 0.000 0.000
Tm 0.096 0.596 0.500
Tm 0.267 0.767 0.500
Tm 0.369 0.869 0.500
Tm 0.631 0.131 0.500
Tm 0.733 0.233 0.500
Tm 0.904 0.404 0.500
Th 0.182 0.182 0.000
Th 0.456 0.456 0.000
Th 0.544 0.544 0.000
Th 0.818 0.818 0.000

***

[7]
Starting from the PBE geometry in Alexandria, the PXRD pattern of Nd3RuSCl was calculated for a wavelength of 1.5418 Å.

Top 10 peaks for 2θ = 5–70°, in order of rising 2θ:
2θ = 8.6°, I 33.0
2θ = 24.6°, I 14.8
2θ = 26.4°, I 25.7
2θ = 29.8°, I 47.0
2θ = 30.0°, I 100.0
2θ = 35.8°, I 13.0
2θ = 41.9°, I 39.4
2θ = 43.7°, I 21.0
2θ = 44.3°, I 19.7
2θ = 54.3°, I 16.9

Structural model:
Cell: 7.614 4.093 10.270 Å, 90.00 92.44 90.00°
Fractional positions:
Nd 0.062 0.250 0.213
Nd 0.257 0.750 0.497
Nd 0.380 0.250 0.798
Nd 0.620 0.750 0.202
Nd 0.743 0.250 0.503
Nd 0.938 0.750 0.787
Ru 0.084 0.250 0.643
Ru 0.916 0.750 0.357
S 0.424 0.250 0.322
S 0.576 0.750 0.678
Cl 0.256 0.750 0.991
Cl 0.744 0.250 0.009

***

[8]
Starting from the PBE geometry in Alexandria, the PXRD pattern of CsLaH2 was calculated for a wavelength of 1.5418 Å.

Top 10 peaks for 2θ = 5–70°, in order of rising 2θ:
2θ = 22.9°, I 68.0
2θ = 25.0°, I 100.0
2θ = 29.9°, I 94.0
2θ = 34.7°, I 49.6
2θ = 42.0°, I 54.2
2θ = 47.9°, I 33.1
2θ = 49.9°, I 21.2
2θ = 55.6°, I 23.7
2θ = 56.6°, I 20.8
2θ = 59.3°, I 26.9

Structural model:
Cell: 8.200 8.200 8.200 Å, 154.24 154.24 36.74°
Fractional positions:
Cs 0.000 0.000 0.000
La 0.268 0.268 0.000
H 0.414 0.414 0.000
H 0.785 0.785 0.000